Calculated PXRD pattern of Rb3NaHg2F8 for a wavelength of 1.5418 Å, from the PBE geometry in Alexandria.
Neutral-atom scattering factors, no anomalous dispersion.

Structural model:
Cell: 6.308 6.308 8.407 Å, 90.00 90.00 120.00°
Sites, in units of the cell vectors:
Rb: 0.000 0.000 0.000
Rb: 0.333 0.667 0.610
Rb: 0.667 0.333 0.390
Na: 0.000 0.000 0.500
Hg: 0.333 0.667 0.180
Hg: 0.667 0.333 0.820
F: 0.164 0.329 0.329
F: 0.164 0.836 0.329
F: 0.329 0.164 0.671
F: 0.333 0.667 0.928
F: 0.667 0.333 0.072
F: 0.671 0.836 0.329
F: 0.836 0.164 0.671
F: 0.836 0.671 0.671

Main lines, by angle (10° ≤ 2θ ≤ 80°):
Position (°2θ)  Rel. int.  index
16.23  228  1 0 0
19.38  554  0 1 1
26.76  816  0 1 2
28.30  1000  1 1 0
36.02  266  1 0 3
39.34  500  2 0 2
46.28  151  1 0 4
49.16  324  1 2 2
50.09  207  3 0 0
58.53  184  2 2 0



Calculated PXRD pattern of RbNaHgF4 for a wavelength of 1.5418 Å, from the PBE geometry in Alexandria.
Neutral-atom scattering factors, no anomalous dispersion.

Structural model:
Cell: 6.478 5.987 7.067 Å, 90.00 103.92 90.00°
Sites, in units of the cell vectors:
Rb: 0.133 0.250 0.103
Rb: 0.867 0.750 0.897
Na: 0.149 0.750 0.477
Na: 0.851 0.250 0.523
Hg: 0.397 0.250 0.690
Hg: 0.603 0.750 0.310
F: 0.129 0.019 0.708
F: 0.129 0.481 0.708
F: 0.263 0.750 0.180
F: 0.488 0.250 0.399
F: 0.512 0.750 0.601
F: 0.737 0.250 0.820
F: 0.871 0.519 0.292
F: 0.871 0.981 0.292

Main lines, by angle (10° ≤ 2θ ≤ 80°):
Position (°2θ)  Rel. int.  index
19.68  967  0 1 1
20.48  903  1 1 0
21.34  592  1 0 1
22.37  747  1 1 -1
26.05  1000  1 1 1
26.44  902  1 0 -2
29.85  801  0 2 0
30.03  614  0 1 2
40.29  670  1 2 -2
45.92  808  2 2 1